1.
This entry pairs a crystal structure of Sr2NiO3F with its simulated powder diffraction line list. Radiation: Cu Kα X-rays. Structure: DFT lattice parameters and positions (PBE+U).
Intensities are scaled so that the largest is 100.

Main lines, low angle first (10 to 90 degrees two-theta):
two_theta, I (rel.), (hkl)
13.5, 16.7, 0 0 2
31.0, 100.0, 1 0 3
33.0, 81.4, 1 1 0
41.2, 14.4, 0 0 6
41.6, 32.1, 1 0 5
43.3, 31.3, 1 1 4
47.4, 44.8, 2 0 0
57.7, 35.0, 2 1 3
64.9, 15.6, 2 1 5
69.3, 13.1, 2 2 0

Atomic structure:
abc: 3.834 3.834 13.150
angles: 90.00 90.00 90.00
Space group I4mm (No. 107)
Symmetry-distinct sites (fractional):
Sr 0.000 0.000 0.000 (multiplicity 2)
Sr 0.000 0.000 0.275 (multiplicity 2)
Ni 0.000 0.000 0.619 (multiplicity 2)
O 0.000 0.000 0.466 (multiplicity 2)
O 0.000 0.500 0.141 (multiplicity 4)
F 0.000 0.000 0.811 (multiplicity 2)

2.
This entry pairs a crystal structure of Li2Ti3FeO8 with its simulated powder diffraction line list. Radiation: Cu Kα X-rays. Structure: DFT lattice parameters and positions (PBE+U).
Intensities are scaled so that the largest is 100.

Main lines, low angle first (10 to 90 degrees two-theta):
two_theta, I (rel.), (hkl)
14.7, 16.2, 1 1 0
18.1, 42.3, 1 1 1
20.9, 23.8, 2 0 0
23.4, 22.9, 2 1 0
29.7, 24.4, 2 2 0
35.0, 100.0, 3 1 1
42.6, 38.8, 4 0 0
56.3, 41.7, 5 1 1
61.8, 54.4, 4 4 0
88.4, 15.2, 5 5 3

Atomic structure:
abc: 8.496 8.496 8.496
angles: 90.00 90.00 90.00
Space group P2_13 (No. 198)
Symmetry-distinct sites (fractional):
Li 0.126 0.126 0.126 (multiplicity 4)
Li 0.247 0.253 0.747 (multiplicity 4)
Ti 0.116 0.378 0.372 (multiplicity 12)
Fe 0.002 0.502 0.998 (multiplicity 4)
O 0.103 0.873 0.110 (multiplicity 12)
O 0.111 0.389 0.611 (multiplicity 4)
O 0.122 0.854 0.641 (multiplicity 12)
O 0.139 0.639 0.861 (multiplicity 4)

3.
This entry pairs a crystal structure of V4O5F7 with its simulated powder diffraction line list. Radiation: Cu Kα X-rays. Structure: DFT lattice parameters and positions (PBE+U).
Intensities are scaled so that the largest is 100.

Main lines, low angle first (10 to 90 degrees two-theta):
two_theta, I (rel.), (hkl)
23.8, 48.3, 2 0 -2
23.9, 100.0, 1 1 1
33.4, 11.4, 3 1 -1
40.3, 13.4, 1 1 3
48.7, 9.9, 4 0 -4
49.0, 19.6, 2 2 2
54.2, 9.9, 5 1 -3
54.4, 10.9, 4 2 0
54.5, 13.0, 3 1 3
56.0, 10.4, 0 2 4

Atomic structure:
abc: 9.402 5.181 8.990
angles: 90.00 108.97 90.00
Space group C2 (No. 5)
Symmetry-distinct sites (fractional):
V 0.106 0.000 0.378 (multiplicity 4)
V 0.137 0.549 0.879 (multiplicity 4)
O 0.000 0.117 0.500 (multiplicity 2)
O 0.005 0.737 0.300 (multiplicity 4)
O 0.248 0.803 0.959 (multiplicity 4)
F 0.000 0.608 0.000 (multiplicity 2)
F 0.003 0.233 0.207 (multiplicity 4)
F 0.248 0.324 0.451 (multiplicity 4)
F 0.249 0.433 0.743 (multiplicity 4)

4.
This entry pairs a crystal structure of K3Mn2F7 with its simulated powder diffraction line list. Radiation: Cu Kα X-rays. Structure: DFT lattice parameters and positions (PBE+U).
Intensities are scaled so that the largest is 100.

Main lines, low angle first (10 to 90 degrees two-theta):
two_theta, I (rel.), (hkl)
16.2, 28.0, 0 0 4
21.2, 22.2, 1 0 1
29.3, 100.0, 1 0 5
29.7, 80.5, 1 1 0
41.3, 37.0, 0 0 10
42.4, 83.0, 2 0 0
51.6, 21.6, 1 1 10
52.4, 35.6, 2 1 5
60.7, 38.9, 2 0 10
61.6, 22.8, 2 2 0

Atomic structure:
abc: 4.261 4.261 21.881
angles: 90.00 90.00 90.00
Space group I4/mmm (No. 139)
Symmetry-distinct sites (fractional):
K 0.000 0.000 0.000 (multiplicity 2)
K 0.000 0.000 0.185 (multiplicity 4)
Mn 0.000 0.000 0.402 (multiplicity 4)
F 0.000 0.000 0.305 (multiplicity 4)
F 0.000 0.000 0.500 (multiplicity 2)
F 0.000 0.500 0.096 (multiplicity 8)